# 1
Na4Cd3Se5: simulated powder X-ray diffraction pattern (Cu Kα (weighted mean of Kα1 and Kα2)), based on a crystal structure in the Materials Project, relaxed with GGA-PBE.
Lines closer than 0.1° are merged.

Cell and atoms:
```
data_Na4Cd3Se5
_cell_length_a 14.290
_cell_length_b 4.315
_cell_length_c 20.504
_cell_angle_alpha 90.00
_cell_angle_beta 90.00
_cell_angle_gamma 90.00
_space_group_name_H-M_alt 'P n m a'
_space_group_IT_number 62
loop_
_space_group_symop_operation_xyz
'x,y,z'
'-x,-y,-z'
'-x+1/2,-y,z+1/2'
'x+1/2,y,-z+1/2'
'x+1/2,-y+1/2,-z+1/2'
'-x+1/2,y+1/2,z+1/2'
'-x,y+1/2,-z'
'x,-y+1/2,z'
loop_
_atom_site_label
_atom_site_type_symbol
_atom_site_fract_x
_atom_site_fract_y
_atom_site_fract_z
Na1 Na 0.001 0.250 0.233
Na2 Na 0.007 0.250 0.581
Na3 Na 0.112 0.250 0.052
Na4 Na 0.224 0.750 0.666
Cd1 Cd 0.076 0.250 0.870
Cd2 Cd 0.183 0.750 0.283
Cd3 Cd 0.206 0.250 0.465
Se1 Se 0.107 0.750 0.946
Se2 Se 0.114 0.750 0.157
Se3 Se 0.115 0.250 0.349
Se4 Se 0.139 0.250 0.747
Se5 Se 0.146 0.750 0.532
```

Top 10 peaks for 10 to 90 degrees two-theta, most intense first:
d = 2.159 Å, 2θ 41.85, I 1000, hkl 0 2 0; d = 8.330 Å, 2θ 10.62, I 561, hkl 1 0 2; d = 3.249 Å, 2θ 27.45, I 456, hkl 2 1 3; d = 3.648 Å, 2θ 24.40, I 447, hkl 0 1 3; d = 2.424 Å, 2θ 37.10, I 417, hkl 0 1 7; d = 2.060 Å, 2θ 43.96, I 337, hkl 6 0 5; d = 4.165 Å, 2θ 21.33, I 335, hkl 2 0 4; d = 3.831 Å, 2θ 23.22, I 331, hkl 1 1 2; d = 3.573 Å, 2θ 24.92, I 318, hkl 4 0 0; d = 2.831 Å, 2θ 31.61, I 292, hkl 5 0 1

=====

# 2
NbCd3: simulated powder X-ray diffraction pattern (Cu Kα (weighted mean of Kα1 and Kα2)), based on a crystal structure in the Materials Project, relaxed with GGA-PBE.
Lines closer than 0.1° are merged.

Cell and atoms:
```
data_NbCd3
_cell_length_a 4.320
_cell_length_b 4.320
_cell_length_c 4.320
_cell_angle_alpha 90.00
_cell_angle_beta 90.00
_cell_angle_gamma 90.00
_space_group_name_H-M_alt 'P m -3 m'
_space_group_IT_number 221
_space_group_name_Hall '-P 4 2 3'
loop_
_atom_site_label
_atom_site_type_symbol
_atom_site_fract_x
_atom_site_fract_y
_atom_site_fract_z
Nb1 Nb 0.000 0.000 0.000
Cd1 Cd 0.000 0.500 0.500
```

Top 6 peaks for 10 to 90 degrees two-theta, most intense first:
d = 2.494 Å, 2θ 36.01, I 1000, hkl 1 1 1; d = 2.160 Å, 2θ 41.82, I 489, hkl 2 0 0; d = 1.302 Å, 2θ 72.58, I 359, hkl 3 1 1; d = 1.527 Å, 2θ 60.63, I 311, hkl 2 2 0; d = 1.247 Å, 2θ 76.37, I 104, hkl 2 2 2; d = 4.320 Å, 2θ 20.56, I 5, hkl 1 0 0

=====

# 3
Nb6CdS8: simulated powder X-ray diffraction pattern (Cu Kα (weighted mean of Kα1 and Kα2)), based on a crystal structure in the Materials Project, relaxed with GGA-PBE.
Lines closer than 0.1° are merged.

Cell and atoms:
```
data_Nb6CdS8
_cell_length_a 9.7115
_cell_length_b 9.7115
_cell_length_c 3.3803
_cell_angle_alpha 90.00
_cell_angle_beta 90.00
_cell_angle_gamma 120.00
_space_group_name_H-M_alt 'P -3'
_space_group_IT_number 147
loop_
_space_group_symop_operation_xyz
'x,y,z'
'-x,-y,-z'
'-y,x-y,z'
'y,-x+y,-z'
'-x+y,-x,z'
'x-y,x,-z'
loop_
_atom_site_label
_atom_site_type_symbol
_atom_site_fract_x
_atom_site_fract_y
_atom_site_fract_z
Nb1 Nb 0.1137 0.6274 0.2499
Cd1 Cd 0.0000 0.0000 0.5000
S1 S 0.0566 0.3439 0.2503
S2 S 0.3333 0.6667 0.7501
```

Top 10 peaks for 10 to 90 degrees two-theta, most intense first:
d = 2.316 Å, 2θ 38.89, I 1000, hkl 1 2 1; d = 2.333 Å, 2θ 38.60, I 501, hkl 1 3 0; d = 4.205 Å, 2θ 21.13, I 446, hkl 2 0 0; d = 3.136 Å, 2θ 28.46, I 410, hkl 1 0 1; d = 3.179 Å, 2θ 28.07, I 390, hkl 2 1 0; d = 1.972 Å, 2θ 46.03, I 380, hkl 4 -2 1; d = 1.835 Å, 2θ 49.68, I 315, hkl 4 1 0; d = 8.410 Å, 2θ 10.52, I 294, hkl 1 0 0; d = 1.132 Å, 2θ 85.84, I 188, hkl 5 3 1; d = 2.635 Å, 2θ 34.03, I 162, hkl 2 0 1